Structure and calculated XRD peak list of FeCoAg2 (a structure optimized by DFT (PBE); λ = 1.5418 Å (Cu Kα)).
Neutral-atom scattering factors, no anomalous dispersion.

Structural model:
a = 3.1111 Å, b = 4.4493 Å, c = 8.6462 Å
α = 90.00°, β = 90.00°, γ = 90.00°
Sites, in units of the cell vectors:
Fe  0.0000  0.0000  0.0000
Fe  0.5000  0.5000  0.0000
Co  0.0000  0.5000  0.1982
Co  0.5000  0.0000  0.1982
Ag  0.0000  0.0000  0.4555
Ag  0.0000  0.5000  0.7392
Ag  0.5000  0.0000  0.7392
Ag  0.5000  0.5000  0.4555

Main lines, by angle (10 to 80 degrees two-theta):
- 31.03°, I = 13.4
- 36.75°, I = 13.4
- 40.55°, I = 27.8
- 41.10°, I = 100.0
- 41.79°, I = 19.3
- 74.15°, I = 15.8